This entry pairs a crystal structure of LuNb6Cl18 with its computed X-ray diffraction stick pattern. Radiation: λ = 1.5418 Å (Cu Kα). Structure: a structure optimized by DFT (GGA-PBE).
No peak broadening, texture or thermal motion is included.

Crystal structure
Lattice parameters (Å, degrees): 10.1316 10.1316 10.1316 55.94 55.94 55.94
Atoms (fractional coordinates):
1 Lu 0.0000 0.0000 0.0000
2 Nb 0.2983 0.6513 0.4075
3 Nb 0.3487 0.5925 0.7017
4 Nb 0.4075 0.2983 0.6513
5 Nb 0.5925 0.7017 0.3487
6 Nb 0.6513 0.4075 0.2983
7 Nb 0.7017 0.3487 0.5925
8 Cl 0.0403 0.8429 0.2927
9 Cl 0.0893 0.7766 0.6308
10 Cl 0.1571 0.7073 0.9597
11 Cl 0.1601 0.4416 0.5691
12 Cl 0.2234 0.3692 0.9107
13 Cl 0.2927 0.0403 0.8429
14 Cl 0.3692 0.9107 0.2234
15 Cl 0.4309 0.8399 0.5585
16 Cl 0.4415 0.5691 0.1601
17 Cl 0.5585 0.4309 0.8399
18 Cl 0.5691 0.1601 0.4415
19 Cl 0.6308 0.0893 0.7766
20 Cl 0.7073 0.9597 0.1571
21 Cl 0.7766 0.6308 0.0893
22 Cl 0.8399 0.5585 0.4309
23 Cl 0.8429 0.2927 0.0403
24 Cl 0.9107 0.2234 0.3692
25 Cl 0.9597 0.1571 0.7073

The 8 most intense peaks (10° ≤ 2θ ≤ 90°), sorted by position:
- 11.3°, d = 7.834 Å, rel. 9
- 12.8°, d = 6.919 Å, rel. 100
- 21.4°, d = 4.150 Å, rel. 12
- 27.8°, d = 3.205 Å, rel. 9
- 28.9°, d = 3.088 Å, rel. 9
- 33.7°, d = 2.657 Å, rel. 27
- 40.5°, d = 2.228 Å, rel. 20
- 50.8°, d = 1.796 Å, rel. 12

This entry pairs a crystal structure of LuSeClO3 with its computed X-ray diffraction stick pattern. Radiation: λ = 1.5418 Å (Cu Kα). Structure: a structure optimized by DFT (GGA-PBE).
No peak broadening, texture or thermal motion is included.

Crystal structure
Lattice parameters (Å, degrees): 7.2386 6.8624 8.7120 90.00 90.00 90.00
Atoms (fractional coordinates):
1 Lu 0.0999 0.2500 0.0392
2 Lu 0.4001 0.7500 0.5392
3 Lu 0.5999 0.2500 0.4608
4 Lu 0.9001 0.7500 0.9608
5 Se 0.2086 0.2500 0.6344
6 Se 0.2914 0.7500 0.1344
7 Se 0.7086 0.2500 0.8656
8 Se 0.7914 0.7500 0.3656
9 Cl 0.0645 0.7500 0.6844
10 Cl 0.4355 0.2500 0.1844
11 Cl 0.5645 0.7500 0.8156
12 Cl 0.9355 0.2500 0.3156
13 O 0.1387 0.5705 0.0677
14 O 0.1387 0.9295 0.0677
15 O 0.2492 0.7500 0.3263
16 O 0.2508 0.2500 0.8263
17 O 0.3613 0.0705 0.5677
18 O 0.3613 0.4295 0.5677
19 O 0.6387 0.5705 0.4323
20 O 0.6387 0.9295 0.4323
21 O 0.7492 0.7500 0.1737
22 O 0.7508 0.2500 0.6737
23 O 0.8613 0.0705 0.9323
24 O 0.8613 0.4295 0.9323

The 8 most intense peaks (10° ≤ 2θ ≤ 90°), sorted by position:
- 15.9°, d = 5.568 Å, rel. 100
- 23.8°, d = 3.732 Å, rel. 48
- 26.0°, d = 3.431 Å, rel. 78
- 27.9°, d = 3.201 Å, rel. 42
- 29.7°, d = 3.005 Å, rel. 30
- 33.2°, d = 2.695 Å, rel. 34
- 34.8°, d = 2.580 Å, rel. 39
- 41.0°, d = 2.202 Å, rel. 44